Record 1
LiVF4: theoretical PXRD pattern (Cu Kα, 1.54184 Å), based on the GGA+U geometry in the Materials Project.
Kinematic intensities with the Lorentz-polarization factor, no thermal factor.

Most intense lines, 2θ from 15° to 90°, most intense first:
two_theta  intensity
19.3  100
38.9  63
18.5  52
19.2  47
37.4  31
52.7  31
30.2  25
58.4  19

Structural model:
```
LiVF4
1.0
5.257 -1.563 0.000
5.257 1.563 0.000
-2.674 0.000 4.805
Li V F
1 1 4
direct
0.000 0.000 0.000
0.500 0.500 0.500
0.115 0.115 0.476
0.408 0.408 0.101
0.592 0.592 0.899
0.885 0.885 0.524
```

Record 2
Sc7V9O24: theoretical PXRD pattern (Cu Kα, 1.54184 Å), based on the GGA+U geometry in the Materials Project.
Kinematic intensities with the Lorentz-polarization factor, no thermal factor.

Most intense lines, 2θ from 15° to 90°, most intense first:
two_theta  intensity
31.7  100
32.0  97
53.1  32
53.2  32
22.3  20
53.0  16
37.0  16
53.7  15

Structural model:
```
Sc7V9O24
1.0
8.383 0.000 0.000
-2.715 7.958 0.000
-2.827 -3.983 6.917
Sc V O
7 9 24
direct
0.000 0.000 0.000
0.036 0.214 0.751
0.248 0.464 0.288
0.492 0.998 0.498
0.530 0.784 0.823
0.747 0.962 0.287
0.820 0.534 0.788
0.033 0.715 0.256
0.068 0.502 0.571
0.282 0.750 0.037
0.284 0.248 0.535
0.322 0.038 0.788
0.534 0.283 0.319
0.569 0.497 0.074
0.782 0.252 0.042
0.786 0.747 0.535
0.012 0.261 0.000
0.013 0.494 0.315
0.016 0.219 0.492
0.057 0.484 0.814
0.057 0.972 0.768
0.058 0.794 0.055
0.227 0.978 0.495
0.255 0.205 0.262
0.266 0.783 0.796
0.291 0.713 0.270
0.328 0.289 0.814
0.329 0.516 0.574
0.507 0.698 0.027
0.514 0.019 0.259
0.519 0.525 0.301
0.549 0.017 0.766
0.550 0.288 0.581
0.552 0.239 0.080
0.738 0.740 0.756
0.749 0.986 0.548
0.774 0.473 0.997
0.792 0.025 0.082
0.816 0.504 0.522
0.829 0.754 0.311
```

Record 3
Rb2MnHgF6: theoretical PXRD pattern (Cu Kα, 1.54184 Å), based on the GGA+U geometry in the Materials Project.
Kinematic intensities with the Lorentz-polarization factor, no thermal factor.

Most intense lines, 2θ from 15° to 90°, most intense first:
two_theta  intensity
28.3  100
50.2  41
40.5  37
58.6  23
17.2  22
80.7  22
66.3  19
33.3  19

Structural model:
```
Rb2MnHgF6
1.0
0.000 4.456 4.456
4.456 0.000 4.456
4.456 4.456 0.000
Rb Mn Hg F
2 1 1 6
direct
0.250 0.250 0.250
0.750 0.750 0.750
0.000 0.000 0.000
0.500 0.500 0.500
0.233 0.233 0.767
0.233 0.767 0.233
0.233 0.767 0.767
0.767 0.233 0.233
0.767 0.233 0.767
0.767 0.767 0.233
```

Record 4
Li2MnF4: theoretical PXRD pattern (Cu Kα, 1.54184 Å), based on the GGA+U geometry in the Materials Project.
Kinematic intensities with the Lorentz-polarization factor, no thermal factor.

Most intense lines, 2θ from 15° to 90°, most intense first:
two_theta  intensity
17.8  100
41.7  87
23.0  62
60.6  54
41.9  44
34.3  42
25.3  35
60.4  26

Structural model:
```
Li2MnF4
1.0
6.130 0.000 0.000
0.000 6.130 0.000
0.000 0.000 8.625
Li Mn F
8 4 16
direct
0.000 0.216 0.000
0.000 0.784 0.500
0.216 0.000 0.250
0.248 0.248 0.625
0.248 0.752 0.875
0.752 0.248 0.375
0.752 0.752 0.125
0.784 0.000 0.750
0.228 0.500 0.250
0.500 0.228 0.000
0.500 0.772 0.500
0.772 0.500 0.750
0.003 0.243 0.238
0.003 0.757 0.262
0.243 0.003 0.012
0.243 0.997 0.488
0.249 0.480 0.002
0.249 0.520 0.498
0.480 0.249 0.248
0.480 0.751 0.252
0.520 0.249 0.752
0.520 0.751 0.748
0.751 0.480 0.998
0.751 0.520 0.502
0.757 0.003 0.988
0.757 0.997 0.512
0.997 0.243 0.762
0.997 0.757 0.738
```

Record 5
Li6MnFe2O6: theoretical PXRD pattern (Cu Kα, 1.54184 Å), based on the GGA+U geometry in the Materials Project.
Kinematic intensities with the Lorentz-polarization factor, no thermal factor.

Most intense lines, 2θ from 15° to 90°, most intense first:
two_theta  intensity
16.8  100
36.0  37
36.9  32
37.0  32
47.5  18
32.5  17
46.8  16
47.9  16

Structural model:
```
Li6MnFe2O6
1.0
3.224 0.000 0.000
1.440 8.242 0.000
1.389 2.854 10.575
Li Mn Fe O
12 2 4 12
direct
0.000 0.000 0.000
0.000 0.346 0.635
0.168 0.164 0.502
0.181 0.510 0.134
0.318 0.333 0.001
0.334 0.675 0.634
0.498 0.501 0.499
0.503 0.846 0.135
0.668 0.663 0.002
0.682 0.009 0.634
0.820 0.832 0.500
0.833 0.175 0.134
0.168 0.837 0.820
0.666 0.335 0.320
0.002 0.673 0.315
0.331 0.005 0.317
0.500 0.173 0.815
0.831 0.504 0.817
0.069 0.409 0.440
0.119 0.100 0.697
0.234 0.574 0.943
0.268 0.261 0.195
0.384 0.748 0.434
0.432 0.435 0.693
0.571 0.909 0.941
0.618 0.600 0.198
0.734 0.074 0.443
0.769 0.761 0.696
0.880 0.248 0.935
0.934 0.935 0.194
```

Record 6
K6Cr2O9: theoretical PXRD pattern (Cu Kα, 1.54184 Å), based on the GGA+U geometry in the Materials Project.
Kinematic intensities with the Lorentz-polarization factor, no thermal factor.

Most intense lines, 2θ from 15° to 90°, most intense first:
two_theta  intensity
30.9  100
28.0  67
29.7  41
29.1  38
37.7  28
42.2  21
49.9  20
18.0  19

Structural model:
```
K6Cr2O9
1.0
4.774 -4.284 0.000
4.774 4.284 0.000
-0.163 0.000 7.868
K Cr O
6 2 9
direct
0.000 0.000 0.000
0.003 0.509 0.269
0.007 0.498 0.756
0.498 0.007 0.756
0.504 0.504 0.553
0.509 0.003 0.269
0.515 0.515 0.026
0.974 0.974 0.549
0.097 0.097 0.376
0.168 0.832 0.663
0.236 0.236 0.461
0.333 0.675 0.144
0.374 0.374 0.883
0.675 0.333 0.144
0.680 0.680 0.933
0.801 0.801 0.476
0.832 0.168 0.663
```

Record 7
Li9Mn2Co5O16: theoretical PXRD pattern (Cu Kα, 1.54184 Å), based on the GGA+U geometry in the Materials Project.
Kinematic intensities with the Lorentz-polarization factor, no thermal factor.

Most intense lines, 2θ from 15° to 90°, most intense first:
two_theta  intensity
18.5  100
42.7  29
44.4  26
44.8  25
35.4  15
36.7  12
36.9  12
63.4  8

Structural model:
```
Li9Mn2Co5O16
1.0
5.685 0.000 0.000
-2.817 5.130 0.000
-1.366 -1.164 9.587
Li Mn Co O
9 2 5 16
direct
0.000 0.000 0.000
0.248 0.370 0.243
0.248 0.876 0.245
0.250 0.124 0.760
0.254 0.624 0.759
0.746 0.376 0.241
0.750 0.876 0.240
0.752 0.124 0.755
0.752 0.630 0.757
0.000 0.249 0.499
0.000 0.751 0.501
0.000 0.500 0.000
0.499 0.249 0.499
0.500 0.000 0.000
0.500 0.500 0.000
0.501 0.751 0.501
0.121 0.785 0.893
0.135 0.082 0.382
0.139 0.585 0.385
0.146 0.338 0.890
0.362 0.669 0.114
0.377 0.447 0.608
0.377 0.950 0.608
0.384 0.165 0.116
0.616 0.835 0.884
0.623 0.050 0.392
0.623 0.553 0.392
0.638 0.331 0.886
0.854 0.662 0.110
0.861 0.415 0.615
0.865 0.918 0.618
0.879 0.215 0.107
```